Diffraction record for HoMgZnN2. The XRD peak list is theoretical, not measured: it uses a crystal structure in OQMD, relaxed with PBE and copper Kα.
Lines closer than 0.1° are merged.

Peak list (10 most intense, 2θ from 10° to 90°, in order of falling intensity)
two_theta, I/Imax, (hkl)
33.31, 100, 0 1 1
41.86, 59, 1 0 2
14.14, 41, 0 0 1
53.28, 27, 1 1 0
30.01, 19, 1 0 0
71.02, 18, 1 1 3
64.31, 15, 2 0 1
43.33, 13, 0 0 3
67.58, 13, 0 1 4
88.20, 13, 1 2 1

Structural model:
```
data_HoMgZnN2
_chemical_formula_sum 'Ho1 Mg1 Zn1 N2'
_space_group_name_H-M_alt 'P 3 m 1'
_space_group_IT_number 156
_cell_length_a 3.4386
_cell_length_b 3.4386
_cell_length_c 6.2647
_cell_angle_alpha 90.00
_cell_angle_beta 90.00
_cell_angle_gamma 120.00
loop_
_space_group_symop_operation_xyz
'x,y,z'
'-y,x-y,z'
'-x+y,-x,z'
'-y,-x,z'
'-x+y,y,z'
'x,x-y,z'
loop_
_atom_site_label
_atom_site_type_symbol
_atom_site_fract_x
_atom_site_fract_y
_atom_site_fract_z
_atom_site_occupancy
Ho1 Ho 0.0000 0.0000 0.0000 1
Mg1 Mg 0.6667 0.3333 0.6317 1
Zn1 Zn 0.3333 0.6667 0.3433 1
N1 N 0.3333 0.6667 0.7658 1
N2 N 0.6667 0.3333 0.2627 1
```

=====

Diffraction record for Ho2Mg3Ni2. The XRD peak list is theoretical, not measured: it uses a crystal structure in OQMD, relaxed with PBE and copper Kα.
Lines closer than 0.1° are merged.

Peak list (10 most intense, 2θ from 10° to 90°, in order of falling intensity)
two_theta, I/Imax, (hkl)
36.11, 100, 1 3 1
40.15, 64, 1 5 1
35.81, 59, 0 6 1
33.93, 51, 1 1 1
25.98, 38, 1 3 0
25.58, 28, 0 6 0
59.69, 27, 2 6 1
46.08, 25, 2 0 0
45.34, 23, 1 9 0
34.33, 21, 0 8 0

Structural model:
```
data_Ho2Mg3Ni2
_chemical_formula_sum 'Ho4 Mg6 Ni4'
_space_group_name_H-M_alt 'C m m m'
_space_group_IT_number 65
_space_group_name_Hall '-C 2 2'
_cell_length_a 3.9396
_cell_length_b 20.8964
_cell_length_c 3.6139
_cell_angle_alpha 90.00
_cell_angle_beta 90.00
_cell_angle_gamma 90.00
loop_
_atom_site_label
_atom_site_type_symbol
_atom_site_fract_x
_atom_site_fract_y
_atom_site_fract_z
_atom_site_occupancy
Ho1 Ho 0.0000 0.1769 0.0000 1
Mg1 Mg 0.0000 0.0000 0.0000 1
Mg2 Mg 0.0000 0.4200 0.5000 1
Ni1 Ni 0.0000 0.2867 0.5000 1
```

=====

Diffraction record for HoMgPO. The XRD peak list is theoretical, not measured: it uses a crystal structure in OQMD, relaxed with PBE and copper Kα.
Lines closer than 0.1° are merged.

Peak list (10 most intense, 2θ from 10° to 90°, in order of falling intensity)
two_theta, I/Imax, (hkl)
21.28, 100, 0 1 1
29.87, 83, 1 1 1
20.71, 71, 1 0 0
31.19, 51, 0 0 2
29.34, 48, 0 2 0
36.18, 47, 1 2 0
37.73, 43, 1 0 2
48.50, 40, 1 2 2
43.35, 33, 0 2 2
42.14, 27, 2 0 0

Structural model:
```
data_HoMgPO
_chemical_formula_sum 'Ho2 Mg2 P2 O2'
_space_group_name_H-M_alt 'P m c 21'
_space_group_IT_number 26
_cell_length_a 4.2891
_cell_length_b 6.0886
_cell_length_c 5.7359
_cell_angle_alpha 90.00
_cell_angle_beta 90.00
_cell_angle_gamma 90.00
loop_
_space_group_symop_operation_xyz
'x,y,z'
'-x,-y,z+1/2'
'-x,y,z'
'x,-y,z+1/2'
loop_
_atom_site_label
_atom_site_type_symbol
_atom_site_fract_x
_atom_site_fract_y
_atom_site_fract_z
_atom_site_occupancy
Ho1 Ho 0.0000 0.2219 0.0000 1
Mg1 Mg 0.5000 0.3822 0.6185 1
P1 P 0.0000 0.2310 0.4890 1
O1 O 0.5000 0.3250 0.9631 1
```